No. 1
# LaTm7Sc3
Calculated powder XRD pattern, a wavelength of 1.5418 Å. Input: a PBE-relaxed structure.
No peak broadening, texture or thermal motion is included.

Structure:
Lattice parameters (Å, degrees): 6.9035 6.9035 8.2306 90.00 90.00 120.00
Space group P3m1 (No. 156)
Unique sites:
La 0.0000 0.0000 0.0000 (multiplicity 1)
Tm 0.0028 0.5014 0.0090 (multiplicity 3)
Tm 0.3314 0.1657 0.6586 (multiplicity 3)
Tm 0.3333 0.6667 0.6653 (multiplicity 1)
Sc 0.1690 0.3380 0.3373 (multiplicity 3)

Peak list (10 most intense, 10 to 90 degrees two-theta, low angle first)
| (hkl) | 2θ/deg | d/Å | I/Imax |
| --- | --- | --- | --- |
| 0 0 1 | 10.75 | 8.231 | 36.6 |
| 0 0 2 | 21.59 | 4.115 | 13.5 |
| 2 0 0 | 29.89 | 2.989 | 13.2 |
| 0 2 1 | 31.85 | 2.810 | 100.0 |
| 0 0 3 | 32.64 | 2.744 | 26.6 |
| 2 0 2 | 37.17 | 2.419 | 61.7 |
| 2 2 0 | 53.06 | 1.726 | 20.5 |
| 0 2 4 | 54.11 | 1.695 | 23.4 |
| 4 0 1 | 63.23 | 1.471 | 14.0 |
| 2 2 3 | 63.70 | 1.461 | 23.1 |


No. 2
# Tb10Sm4Dy
Calculated powder XRD pattern, a wavelength of 1.5418 Å. Input: a PBE-relaxed structure.
No peak broadening, texture or thermal motion is included.

Structure:
Lattice parameters (Å, degrees): 12.2225 12.2225 7.7357 90.00 90.00 90.00
Space group I4/m (No. 87)
Unique sites:
Tb 0.0000 0.5000 0.2500 (multiplicity 4)
Tb 0.0990 0.8006 0.2487 (multiplicity 16)
Sm 0.1007 0.2990 0.5000 (multiplicity 8)
Dy 0.0000 0.0000 0.0000 (multiplicity 2)

Peak list (10 most intense, 10 to 90 degrees two-theta, low angle first)
| (hkl) | 2θ/deg | d/Å | I/Imax |
| --- | --- | --- | --- |
| 2 1 1 | 19.89 | 4.464 | 24.5 |
| 1 3 0 | 23.00 | 3.866 | 14.9 |
| 4 2 0 | 32.76 | 2.734 | 100.0 |
| 5 0 1 | 38.62 | 2.331 | 13.5 |
| 2 6 0 | 47.01 | 1.933 | 18.3 |
| 6 3 1 | 51.52 | 1.774 | 5.9 |
| 7 1 0 | 52.96 | 1.729 | 6.3 |
| 7 1 2 | 58.48 | 1.578 | 38.3 |
| 8 4 0 | 68.67 | 1.367 | 11.8 |
| 10 0 0 | 78.19 | 1.223 | 16.4 |


No. 3
# Hf2Pd2Se
Calculated powder XRD pattern, a wavelength of 1.5418 Å. Input: a PBE-relaxed structure.
No peak broadening, texture or thermal motion is included.

Structure:
Lattice parameters (Å, degrees): 7.2354 7.2354 3.7194 90.00 90.00 90.00
Space group P4/mbm (No. 127)
Unique sites:
Hf 0.1651 0.3349 0.0000 (multiplicity 4)
Pd 0.1310 0.6310 0.5000 (multiplicity 4)
Se 0.0000 0.0000 0.0000 (multiplicity 2)

Peak list (10 most intense, 10 to 90 degrees two-theta, low angle first)
| (hkl) | 2θ/deg | d/Å | I/Imax |
| --- | --- | --- | --- |
| 1 1 0 | 17.33 | 5.116 | 11.2 |
| 0 0 1 | 23.93 | 3.719 | 9.5 |
| 2 1 1 | 36.82 | 2.441 | 100.0 |
| 3 1 0 | 39.38 | 2.288 | 32.3 |
| 0 0 2 | 48.98 | 1.860 | 13.0 |
| 3 3 0 | 53.75 | 1.705 | 7.7 |
| 4 1 1 | 58.12 | 1.587 | 11.7 |
| 3 1 2 | 64.58 | 1.443 | 14.9 |
| 5 2 1 | 75.19 | 1.264 | 14.2 |
| 2 1 3 | 83.50 | 1.158 | 9.5 |


No. 4
# Fe14CoNi
Calculated powder XRD pattern, a wavelength of 1.5418 Å. Input: a PBE-relaxed structure.
No peak broadening, texture or thermal motion is included.

Structure:
Lattice parameters (Å, degrees): 5.6747 8.0620 8.0851 90.00 90.00 90.00
Space group Cmmm (No. 65)
Unique sites:
Fe 0.0000 0.0000 0.0000 (multiplicity 2)
Fe 0.0000 0.2494 0.2502 (multiplicity 8)
Fe 0.0000 0.5000 0.0000 (multiplicity 2)
Fe 0.2478 0.5000 0.2500 (multiplicity 8)
Fe 0.2500 0.2500 0.0000 (multiplicity 4)
Fe 0.2500 0.2500 0.5000 (multiplicity 4)
Co 0.0000 0.5000 0.5000 (multiplicity 2)
Ni 0.0000 0.0000 0.5000 (multiplicity 2)

Peak list (7 most intense, 10 to 90 degrees two-theta, low angle first)
| (hkl) | 2θ/deg | d/Å | I/Imax |
| --- | --- | --- | --- |
| 0 0 4 | 44.84 | 2.021 | 20.3 |
| 2 2 2 | 45.04 | 2.013 | 100.0 |
| 0 4 4 | 65.39 | 1.427 | 11.9 |
| 4 0 0 | 65.83 | 1.419 | 5.8 |
| 2 2 6 | 82.84 | 1.165 | 11.5 |
| 2 6 2 | 83.04 | 1.163 | 11.5 |
| 4 4 0 | 83.24 | 1.161 | 11.4 |


No. 5
# ThMg6Ga2
Calculated powder XRD pattern, a wavelength of 1.5418 Å. Input: a PBE-relaxed structure.
No peak broadening, texture or thermal motion is included.

Structure:
Lattice parameters (Å, degrees): 4.3604 4.3604 10.5226 90.00 90.00 90.00
Space group P4/mmm (No. 123)
Unique sites:
Th 0.0000 0.0000 0.0000 (multiplicity 1)
Mg 0.0000 0.0000 0.5000 (multiplicity 1)
Mg 0.0000 0.5000 0.2769 (multiplicity 4)
Mg 0.5000 0.5000 0.5000 (multiplicity 1)
Ga 0.5000 0.5000 0.1168 (multiplicity 2)

Peak list (10 most intense, 10 to 90 degrees two-theta, low angle first)
| (hkl) | 2θ/deg | d/Å | I/Imax |
| --- | --- | --- | --- |
| 0 0 2 | 16.85 | 5.261 | 31.7 |
| 1 0 2 | 26.55 | 3.357 | 52.5 |
| 1 1 0 | 28.96 | 3.083 | 49.9 |
| 1 1 1 | 30.21 | 2.959 | 78.5 |
| 1 0 3 | 32.77 | 2.733 | 68.8 |
| 1 1 2 | 33.69 | 2.660 | 100.0 |
| 1 0 4 | 40.03 | 2.252 | 56.3 |
| 2 0 0 | 41.42 | 2.180 | 52.0 |
| 2 1 3 | 53.79 | 1.704 | 34.3 |
| 2 1 4 | 58.96 | 1.567 | 36.3 |


No. 6
# SrTl2Re
Calculated powder XRD pattern, a wavelength of 1.5418 Å. Input: a PBE-relaxed structure.
No peak broadening, texture or thermal motion is included.

Structure:
Lattice parameters (Å, degrees): 3.2175 4.6442 14.6251 90.00 90.00 90.00
Space group Imm2 (No. 44)
Unique sites:
Sr 0.0000 0.0000 0.0000 (multiplicity 2)
Tl 0.0000 0.0000 0.6443 (multiplicity 2)
Tl 0.0000 0.5000 0.8185 (multiplicity 2)
Re 0.0000 0.5000 0.3090 (multiplicity 2)

Peak list (10 most intense, 10 to 90 degrees two-theta, low angle first)
| (hkl) | 2θ/deg | d/Å | I/Imax |
| --- | --- | --- | --- |
| 0 0 2 | 12.10 | 7.313 | 59.7 |
| 0 1 1 | 20.06 | 4.426 | 16.7 |
| 0 0 4 | 24.34 | 3.656 | 20.2 |
| 0 1 3 | 26.51 | 3.363 | 32.5 |
| 1 1 2 | 36.11 | 2.487 | 100.0 |
| 0 0 6 | 36.88 | 2.438 | 31.1 |
| 0 2 0 | 38.78 | 2.322 | 29.6 |
| 1 1 4 | 42.17 | 2.143 | 47.9 |
| 0 2 6 | 54.58 | 1.681 | 20.4 |
| 1 1 8 | 61.68 | 1.504 | 25.0 |


Please write out number 1 again, unchanged.
# LaTm7Sc3
Calculated powder XRD pattern, a wavelength of 1.5418 Å. Input: a PBE-relaxed structure.
No peak broadening, texture or thermal motion is included.

Structure:
Lattice parameters (Å, degrees): 6.9035 6.9035 8.2306 90.00 90.00 120.00
Space group P3m1 (No. 156)
Unique sites:
La 0.0000 0.0000 0.0000 (multiplicity 1)
Tm 0.0028 0.5014 0.0090 (multiplicity 3)
Tm 0.3314 0.1657 0.6586 (multiplicity 3)
Tm 0.3333 0.6667 0.6653 (multiplicity 1)
Sc 0.1690 0.3380 0.3373 (multiplicity 3)

Peak list (10 most intense, 10 to 90 degrees two-theta, low angle first)
| (hkl) | 2θ/deg | d/Å | I/Imax |
| --- | --- | --- | --- |
| 0 0 1 | 10.75 | 8.231 | 36.6 |
| 0 0 2 | 21.59 | 4.115 | 13.5 |
| 2 0 0 | 29.89 | 2.989 | 13.2 |
| 0 2 1 | 31.85 | 2.810 | 100.0 |
| 0 0 3 | 32.64 | 2.744 | 26.6 |
| 2 0 2 | 37.17 | 2.419 | 61.7 |
| 2 2 0 | 53.06 | 1.726 | 20.5 |
| 0 2 4 | 54.11 | 1.695 | 23.4 |
| 4 0 1 | 63.23 | 1.471 | 14.0 |
| 2 2 3 | 63.70 | 1.461 | 23.1 |